1.
Diffraction record for Cd3Pd8Pb2. The X-ray powder pattern is theoretical, not measured: it uses a cell relaxed with PBE and Cu Kα X-rays.
Lines closer than 0.1° are merged.

The 8 most intense peaks (10° ≤ 2θ ≤ 80°), in order of falling intensity:
two_theta, d [Å], I (rel.)
37.92, 2.373, 100
33.27, 2.693, 46
39.08, 2.305, 44
62.55, 1.485, 40
41.49, 2.176, 27
34.47, 2.602, 27
69.86, 1.346, 24
43.01, 2.103, 21

Crystal structure
```
Cd3Pd8Pb2
1.0
2.693 1.555 10.101
-2.693 1.555 10.101
0.000 -3.109 10.101
Cd Pd Pb
3 8 2
Direct
0.000 0.000 0.000
0.186 0.186 0.186
0.814 0.814 0.814
0.224 0.728 0.728
0.272 0.272 0.776
0.272 0.776 0.272
0.275 0.275 0.275
0.725 0.725 0.725
0.728 0.224 0.728
0.728 0.728 0.224
0.776 0.272 0.272
0.365 0.365 0.365
0.635 0.635 0.635
```

=====

2.
Diffraction record for Cs4As. The X-ray powder pattern is theoretical, not measured: it uses a cell relaxed with PBE and Cu Kα X-rays.
Lines closer than 0.1° are merged.

The 8 most intense peaks (10° ≤ 2θ ≤ 80°), in order of falling intensity:
two_theta, d [Å], I (rel.)
24.89, 3.577, 100
22.66, 3.925, 91
33.65, 2.664, 46
11.07, 7.991, 45
19.70, 4.506, 43
27.00, 3.303, 27
41.65, 2.168, 26
34.16, 2.625, 25

Crystal structure
```
Cs4As
1.0
-4.506 4.506 8.645
4.506 -4.506 8.645
4.506 4.506 -8.645
Cs As
8 2
Direct
0.032 0.759 0.880
0.259 0.879 0.727
0.348 0.468 0.227
0.379 0.152 0.620
0.621 0.848 0.380
0.652 0.532 0.773
0.741 0.121 0.273
0.968 0.241 0.120
0.375 0.125 0.250
0.625 0.875 0.750
```

=====

3.
Diffraction record for Ac2PS. The X-ray powder pattern is theoretical, not measured: it uses a cell relaxed with PBE and Cu Kα X-rays.
Lines closer than 0.1° are merged.

The 8 most intense peaks (10° ≤ 2θ ≤ 80°), in order of falling intensity:
two_theta, d [Å], I (rel.)
24.89, 3.577, 100
28.82, 3.098, 97
41.21, 2.191, 74
48.74, 1.868, 53
51.06, 1.789, 27
67.58, 1.386, 17
67.66, 1.385, 17
75.07, 1.265, 13

Crystal structure
```
Ac2PS
1.0
4.387 0.000 0.000
0.000 6.190 0.000
0.000 0.000 8.759
Ac P S
4 2 2
Direct
0.250 0.250 0.119
0.250 0.250 0.631
0.750 0.750 0.369
0.750 0.750 0.881
0.250 0.750 0.129
0.750 0.250 0.871
0.250 0.750 0.622
0.750 0.250 0.378
```

=====

4.
Diffraction record for Ac3Pt3Au. The X-ray powder pattern is theoretical, not measured: it uses a cell relaxed with PBE and Cu Kα X-rays.
Lines closer than 0.1° are merged.

The 8 most intense peaks (10° ≤ 2θ ≤ 80°), in order of falling intensity:
two_theta, d [Å], I (rel.)
30.68, 2.914, 100
39.47, 2.283, 40
36.51, 2.461, 34
30.28, 2.952, 27
41.00, 2.201, 27
43.16, 2.096, 23
57.77, 1.596, 19
34.21, 2.621, 18

Crystal structure
```
Ac3Pt3Au
1.0
4.193 0.000 0.000
0.000 4.402 0.000
0.000 0.000 20.780
Ac Pt Au
6 6 2
Direct
0.000 0.000 0.000
0.000 0.000 0.368
0.000 0.500 0.173
0.500 0.000 0.673
0.500 0.500 0.500
0.500 0.500 0.868
0.000 0.000 0.526
0.000 0.000 0.844
0.000 0.500 0.616
0.500 0.000 0.116
0.500 0.500 0.026
0.500 0.500 0.344
0.000 0.500 0.748
0.500 0.000 0.248
```